Calculated X-ray diffraction stick pattern
Compound: Te2Pd3Br2O6
Radiation: Cu Kα, 1.54184 Å
Structure: a PBE-relaxed structure
Intensities are scaled so that the largest is 100.

Main lines, by angle (10° ≤ 2θ ≤ 90°):
| d/Å | I/Imax |
| --- | --- |
| 7.621 | 17 |
| 3.409 | 100 |
| 3.207 | 76 |
| 2.627 | 61 |
| 2.484 | 60 |
| 2.336 | 50 |
| 1.826 | 19 |
| 1.717 | 23 |
| 1.687 | 21 |
| 1.675 | 22 |

Cell and atoms:
```
13
Lattice="4.7892 -3.2071 0.0000 4.7892 3.2071 0.0000 -2.7326 0.0000 7.6210" Properties=species:S:1:pos:R:3 pbc="T T T"
Te 1.0308 0.0000 1.6712
Te 5.8151 0.0000 5.9497
Pd -1.3663 0.0000 3.8105
Pd 2.0940 0.0000 5.0194
Pd 4.7518 0.0000 2.6016
Br 0.3862 0.0000 6.7764
Br 6.4596 0.0000 0.8446
O 2.1854 1.9839 4.9661
O 4.6604 1.9839 2.6549
O 2.4837 0.0000 2.8514
O 4.3621 0.0000 4.7696
O 2.1854 -1.9839 4.9661
O 4.6604 -1.9839 2.6549
```